Record 1
This entry pairs a crystal structure of Ac2Pm3Ge3 with its computed X-ray powder pattern. Radiation: Cu Kα. Structure: a structure optimized by DFT (GGA-PBE).
Peak positions follow from Bragg's law for the DFT cell and can differ from measured ones.

Largest 10 diffraction maxima, low angle first, 15 to 90 degrees two-theta:
- 3.394 Å, intensity 38
- 3.067 Å, intensity 13
- 2.781 Å, intensity 100
- 2.539 Å, intensity 30
- 2.441 Å, intensity 14
- 2.282 Å, intensity 14
- 2.044 Å, intensity 16
- 1.592 Å, intensity 14
- 1.508 Å, intensity 16
- 1.451 Å, intensity 20

Cell and atoms:
```
Ac2Pm3Ge3
1.0
-2.044 2.539 11.408
2.044 -2.539 11.408
2.044 2.539 -11.408
Ac Pm Ge
2 3 3
Cartesian
0.000 0.000 4.923 Ac
0.000 0.000 17.894 Ac
0.000 0.000 0.000 Pm
2.044 0.000 9.046 Pm
0.000 2.539 2.362 Pm
2.044 0.000 2.468 Ge
0.000 0.000 11.408 Ge
0.000 2.539 8.940 Ge
```

Record 2
This entry pairs a crystal structure of Ac3Sn2Pb2 with its computed X-ray powder pattern. Radiation: Cu Kα. Structure: a structure optimized by DFT (GGA-PBE).
Peak positions follow from Bragg's law for the DFT cell and can differ from measured ones.

Largest 10 diffraction maxima, low angle first, 15 to 90 degrees two-theta:
- 3.579 Å, intensity 30
- 3.256 Å, intensity 100
- 3.238 Å, intensity 21
- 2.882 Å, intensity 31
- 2.575 Å, intensity 21
- 2.471 Å, intensity 41
- 2.464 Å, intensity 29
- 2.371 Å, intensity 26
- 1.708 Å, intensity 20
- 1.491 Å, intensity 15

Cell and atoms:
```
Ac3Sn2Pb2
1.0
-2.371 2.464 10.736
2.371 -2.464 10.736
2.371 2.464 -10.736
Ac Sn Pb
3 2 2
Cartesian
0.000 0.000 0.000 Ac
2.371 0.000 3.837 Ac
0.000 2.464 6.899 Ac
0.000 0.000 9.319 Sn
0.000 0.000 12.154 Sn
2.371 0.000 7.282 Pb
0.000 2.464 3.454 Pb
```

Record 3
This entry pairs a crystal structure of AcPm4NdTm2 with its computed X-ray powder pattern. Radiation: Cu Kα. Structure: a structure optimized by DFT (GGA-PBE).
Peak positions follow from Bragg's law for the DFT cell and can differ from measured ones.

Largest 10 diffraction maxima, low angle first, 15 to 90 degrees two-theta:
- 2.987 Å, intensity 100
- 2.597 Å, intensity 17
- 2.582 Å, intensity 34
- 1.831 Å, intensity 24
- 1.826 Å, intensity 12
- 1.564 Å, intensity 15
- 1.558 Å, intensity 29
- 1.494 Å, intensity 13
- 1.188 Å, intensity 9
- 1.185 Å, intensity 6

Cell and atoms:
```
AcPm4NdTm2
1.0
5.784 -2.581 0.000
5.784 2.581 0.000
-4.674 0.000 9.275
Ac Pm Nd Tm
1 4 1 2
Cartesian
0.000 0.000 0.000 Ac
-1.202 0.000 8.074 Pm
1.138 0.000 3.504 Pm
5.757 0.000 5.771 Pm
8.097 0.000 1.201 Pm
-2.337 0.000 4.638 Nd
4.584 0.000 2.367 Tm
2.311 0.000 6.908 Tm
```

Record 4
This entry pairs a crystal structure of ThAlZn8Au2 with its computed X-ray powder pattern. Radiation: Cu Kα. Structure: a structure optimized by DFT (GGA-PBE).
Peak positions follow from Bragg's law for the DFT cell and can differ from measured ones.

Largest 10 diffraction maxima, low angle first, 15 to 90 degrees two-theta:
- 3.503 Å, intensity 62
- 2.957 Å, intensity 36
- 2.874 Å, intensity 97
- 2.455 Å, intensity 100
- 2.429 Å, intensity 55
- 2.374 Å, intensity 56
- 2.351 Å, intensity 93
- 2.286 Å, intensity 65
- 2.062 Å, intensity 36
- 2.055 Å, intensity 39

Cell and atoms:
```
ThAlZn8Au2
1.0
4.048 -2.526 0.000
4.048 2.526 0.000
-1.917 0.000 10.708
Th Al Zn Au
1 1 8 2
Cartesian
0.000 0.000 0.000 Th
-0.959 0.000 5.354 Al
2.050 1.297 7.436 Zn
0.665 0.000 9.191 Zn
4.129 1.297 3.272 Zn
1.814 0.000 5.032 Zn
4.364 0.000 5.676 Zn
2.050 -1.297 7.436 Zn
5.513 0.000 1.517 Zn
4.129 -1.297 3.272 Zn
2.600 0.000 1.495 Au
3.578 0.000 9.213 Au
```

Record 5
This entry pairs a crystal structure of NdEr2P3 with its computed X-ray powder pattern. Radiation: Cu Kα. Structure: a structure optimized by DFT (GGA-PBE).
Peak positions follow from Bragg's law for the DFT cell and can differ from measured ones.

Largest 10 diffraction maxima, low angle first, 15 to 90 degrees two-theta:
- 3.297 Å, intensity 87
- 2.855 Å, intensity 100
- 2.019 Å, intensity 73
- 1.722 Å, intensity 42
- 1.649 Å, intensity 26
- 1.310 Å, intensity 14
- 1.277 Å, intensity 27
- 1.166 Å, intensity 17
- 1.165 Å, intensity 8
- 1.099 Å, intensity 9

Cell and atoms:
```
NdEr2P3
1.0
-2.019 2.859 6.051
2.019 -2.859 6.051
2.019 2.859 -6.051
Nd Er P
1 2 3
Cartesian
0.000 0.000 0.000 Nd
0.000 0.000 4.043 Er
0.000 0.000 8.059 Er
2.019 0.000 2.095 P
0.000 2.859 0.000 P
0.000 2.859 3.957 P
```

Record 6
This entry pairs a crystal structure of BaHg3Cl with its computed X-ray powder pattern. Radiation: Cu Kα. Structure: a structure optimized by DFT (GGA-PBE).
Peak positions follow from Bragg's law for the DFT cell and can differ from measured ones.

Largest 10 diffraction maxima, low angle first, 15 to 90 degrees two-theta:
- 3.912 Å, intensity 81
- 3.388 Å, intensity 100
- 3.030 Å, intensity 44
- 2.395 Å, intensity 79
- 2.258 Å, intensity 25
- 2.043 Å, intensity 44
- 1.956 Å, intensity 29
- 1.515 Å, intensity 38
- 1.383 Å, intensity 29
- 1.129 Å, intensity 20

Cell and atoms:
```
BaHg3Cl
1.0
6.775 0.000 0.000
0.000 6.775 0.000
0.000 0.000 6.775
Ba Hg Cl
1 3 1
Cartesian
0.000 0.000 0.000 Ba
0.000 0.000 3.388 Hg
0.000 3.388 0.000 Hg
3.388 0.000 0.000 Hg
3.388 3.388 3.388 Cl
```

Record 7
This entry pairs a crystal structure of Sr7Cu2HgBiSbO15 with its computed X-ray powder pattern. Radiation: Cu Kα. Structure: a structure optimized by DFT (GGA-PBE).
Peak positions follow from Bragg's law for the DFT cell and can differ from measured ones.

Largest 10 diffraction maxima, low angle first, 15 to 90 degrees two-theta:
- 2.950 Å, intensity 81
- 2.923 Å, intensity 78
- 2.747 Å, intensity 100
- 2.243 Å, intensity 26
- 2.023 Å, intensity 26
- 1.958 Å, intensity 23
- 1.927 Å, intensity 23
- 1.737 Å, intensity 32
- 1.627 Å, intensity 36
- 1.613 Å, intensity 29

Cell and atoms:
```
Sr7Cu2HgBiSbO15
1.0
7.707 0.000 0.000
0.000 8.972 0.000
0.000 0.000 11.746
Sr Cu Hg Bi Sb O
14 4 2 2 2 30
Cartesian
0.000 1.867 0.000 Sr
0.000 7.105 0.000 Sr
0.055 1.872 4.016 Sr
0.055 7.100 4.016 Sr
1.927 4.486 9.856 Sr
3.799 1.872 4.016 Sr
3.799 7.100 4.016 Sr
3.854 1.867 0.000 Sr
3.854 7.105 0.000 Sr
3.908 1.872 7.730 Sr
3.908 7.100 7.730 Sr
5.781 4.486 1.890 Sr
7.653 1.872 7.730 Sr
7.653 7.100 7.730 Sr
1.927 0.000 2.012 Cu
1.927 0.000 5.849 Cu
5.781 0.000 5.897 Cu
5.781 0.000 9.734 Cu
1.927 4.486 5.861 Hg
5.781 4.486 5.885 Hg
1.927 4.486 1.978 Bi
5.781 4.486 9.768 Bi
1.927 0.000 9.748 Sb
5.781 0.000 1.998 Sb
0.000 0.000 5.873 O
0.000 4.486 0.000 O
0.045 0.000 1.981 O
0.250 4.486 3.309 O
1.927 0.000 3.962 O
1.927 0.000 7.785 O
1.927 0.000 11.728 O
1.927 2.032 9.758 O
1.927 2.350 1.824 O
1.927 2.450 5.911 O
1.927 6.522 5.911 O
1.927 6.622 1.824 O
1.927 6.940 9.758 O
3.604 4.486 3.309 O
3.809 0.000 1.981 O
3.854 0.000 5.873 O
3.854 4.486 0.000 O
3.899 0.000 9.765 O
4.104 4.486 8.437 O
5.781 0.000 0.018 O
5.781 0.000 3.961 O
5.781 0.000 7.784 O
5.781 2.032 1.988 O
5.781 2.350 9.922 O
5.781 2.450 5.835 O
5.781 6.522 5.835 O
5.781 6.622 9.922 O
5.781 6.940 1.988 O
7.457 4.486 8.437 O
7.662 0.000 9.765 O
```

Record 8
This entry pairs a crystal structure of Sm3Zn2Pd5 with its computed X-ray powder pattern. Radiation: Cu Kα. Structure: a structure optimized by DFT (GGA-PBE).
Peak positions follow from Bragg's law for the DFT cell and can differ from measured ones.

Largest 10 diffraction maxima, low angle first, 15 to 90 degrees two-theta:
- 2.951 Å, intensity 30
- 2.629 Å, intensity 31
- 2.465 Å, intensity 100
- 2.430 Å, intensity 47
- 2.267 Å, intensity 35
- 2.240 Å, intensity 21
- 1.962 Å, intensity 28
- 1.526 Å, intensity 22
- 1.476 Å, intensity 11
- 1.453 Å, intensity 12

Cell and atoms:
```
Sm3Zn2Pd5
1.0
10.018 0.000 0.000
0.000 10.018 0.000
0.000 0.000 3.923
Sm Zn Pd
6 4 10
Cartesian
0.000 0.000 0.000 Sm
1.766 3.243 0.000 Sm
3.243 8.252 0.000 Sm
5.009 5.009 0.000 Sm
6.775 1.766 0.000 Sm
8.252 6.775 0.000 Sm
1.183 6.192 0.000 Zn
3.826 1.183 0.000 Zn
6.192 8.835 0.000 Zn
8.835 3.826 0.000 Zn
0.000 5.009 1.961 Pd
0.698 7.859 1.961 Pd
2.159 0.698 1.961 Pd
2.850 5.707 1.961 Pd
4.311 2.850 1.961 Pd
5.009 0.000 1.961 Pd
5.707 7.168 1.961 Pd
7.168 4.311 1.961 Pd
7.859 9.320 1.961 Pd
9.320 2.159 1.961 Pd
```

Record 9
This entry pairs a crystal structure of Hf2Be15Cr2 with its computed X-ray powder pattern. Radiation: Cu Kα. Structure: a structure optimized by DFT (GGA-PBE).
Peak positions follow from Bragg's law for the DFT cell and can differ from measured ones.

Largest 10 diffraction maxima, low angle first, 15 to 90 degrees two-theta:
- 3.866 Å, intensity 100
- 3.579 Å, intensity 15
- 2.626 Å, intensity 45
- 2.491 Å, intensity 17
- 2.232 Å, intensity 29
- 1.933 Å, intensity 21
- 1.894 Å, intensity 23
- 1.841 Å, intensity 14
- 1.461 Å, intensity 12
- 1.353 Å, intensity 12

Cell and atoms:
```
Hf2Be15Cr2
1.0
3.866 2.232 3.579
-3.866 2.232 3.579
0.000 -4.464 3.579
Hf Be Cr
2 15 2
Cartesian
0.000 0.000 1.688 Hf
0.000 0.000 9.049 Hf
-1.933 -1.116 3.579 Be
0.000 -2.242 3.477 Be
-1.942 1.121 3.477 Be
-1.132 -1.960 5.369 Be
-2.264 0.000 5.369 Be
-1.942 -1.121 7.260 Be
-1.933 1.116 7.158 Be
1.132 -1.960 5.369 Be
0.000 2.232 3.579 Be
-1.132 1.960 5.369 Be
1.942 1.121 3.477 Be
2.264 0.000 5.369 Be
1.132 1.960 5.369 Be
1.942 -1.121 7.260 Be
0.000 2.242 7.260 Be
0.000 0.000 4.389 Cr
0.000 0.000 6.348 Cr
```

Record 10
This entry pairs a crystal structure of Te2AsH2Pd7 with its computed X-ray powder pattern. Radiation: Cu Kα. Structure: a structure optimized by DFT (GGA-PBE).
Peak positions follow from Bragg's law for the DFT cell and can differ from measured ones.

Largest 10 diffraction maxima, low angle first, 15 to 90 degrees two-theta:
- 2.780 Å, intensity 22
- 2.549 Å, intensity 31
- 2.541 Å, intensity 15
- 2.266 Å, intensity 100
- 2.258 Å, intensity 29
- 2.209 Å, intensity 26
- 2.030 Å, intensity 64
- 1.493 Å, intensity 16
- 1.245 Å, intensity 16
- 1.213 Å, intensity 17

Cell and atoms:
```
Te2AsH2Pd7
1.0
2.866 -2.875 0.000
2.866 2.875 0.000
-2.834 0.000 11.046
Te As H Pd
2 1 2 7
Cartesian
-0.032 0.000 4.246 Te
2.929 0.000 6.800 Te
0.000 0.000 0.000 As
0.035 0.000 9.117 H
2.863 0.000 1.929 H
1.408 1.434 1.971 Pd
0.078 0.000 6.992 Pd
1.490 1.434 9.075 Pd
2.866 0.000 0.000 Pd
1.408 -1.434 1.971 Pd
2.820 0.000 4.054 Pd
1.490 -1.434 9.075 Pd
```

Record 11
This entry pairs a crystal structure of Li2YHo2In2 with its computed X-ray powder pattern. Radiation: Cu Kα. Structure: a structure optimized by DFT (GGA-PBE).
Peak positions follow from Bragg's law for the DFT cell and can differ from measured ones.

Largest 10 diffraction maxima, low angle first, 15 to 90 degrees two-theta:
- 4.136 Å, intensity 76
- 3.993 Å, intensity 18
- 2.807 Å, intensity 70
- 2.596 Å, intensity 100
- 2.418 Å, intensity 95
- 1.832 Å, intensity 27
- 1.769 Å, intensity 32
- 1.460 Å, intensity 22
- 1.428 Å, intensity 31
- 1.425 Å, intensity 28

Cell and atoms:
```
Li2YHo2In2
1.0
2.418 1.396 8.823
-2.418 1.396 8.823
0.000 -2.792 8.823
Li Y Ho In
2 1 2 2
Cartesian
0.000 0.000 2.722 Li
0.000 0.000 23.747 Li
0.000 0.000 13.235 Y
0.000 0.000 9.850 Ho
0.000 0.000 16.619 Ho
0.000 0.000 6.315 In
0.000 0.000 20.154 In
```

Record 12
This entry pairs a crystal structure of Sm6MgAg with its computed X-ray powder pattern. Radiation: Cu Kα. Structure: a structure optimized by DFT (GGA-PBE).
Peak positions follow from Bragg's law for the DFT cell and can differ from measured ones.

Largest 10 diffraction maxima, low angle first, 15 to 90 degrees two-theta:
- 3.119 Å, intensity 21
- 2.871 Å, intensity 100
- 2.715 Å, intensity 58
- 2.577 Å, intensity 61
- 2.410 Å, intensity 14
- 1.844 Å, intensity 13
- 1.789 Å, intensity 16
- 1.729 Å, intensity 20
- 1.582 Å, intensity 13
- 1.559 Å, intensity 11

Cell and atoms:
```
Sm6MgAg
1.0
4.573 2.640 3.373
-4.573 2.640 3.373
0.000 -5.281 3.373
Sm Mg Ag
6 1 1
Cartesian
-2.394 -2.454 4.508 Sm
-3.322 0.846 5.611 Sm
0.928 -3.300 5.611 Sm
-0.928 3.300 4.508 Sm
3.322 -0.846 4.508 Sm
2.394 2.454 5.611 Sm
0.000 0.000 5.060 Mg
0.000 0.000 0.000 Ag
```